[1]
Structure and simulated powder XRD pattern of La4SbPCl2 (DFT lattice parameters and positions (GGA-PBE); λ = 1.5418 Å (Cu Kα)).

Most intense lines, 10° ≤ 2θ ≤ 90°, in order of rising 2θ:
2θ/deg  d [Å]  intensity  index
25.09  3.549  25  1 1 -1
29.00  3.079  50  2 0 -2
29.14  3.065  100  1 1 1
40.89  2.207  34  1 1 -3
41.58  2.172  20  0 2 0
41.77  2.162  16  2 0 2
42.26  2.139  36  3 1 -1
51.49  1.775  19  2 2 -2

Structure:
```
data_La4SbPCl2
_chemical_formula_sum 'La4 Sb1 P1 Cl2'
_symmetry_space_group_name_H-M 'P 1 2/m 1'
_symmetry_Int_Tables_number 10
_cell_length_a 7.3730
_cell_length_b 4.3435
_cell_length_c 7.6882
_cell_angle_alpha 90.00
_cell_angle_beta 109.86
_cell_angle_gamma 90.00
loop_
_symmetry_equiv_pos_as_xyz
'x,y,z'
'-x,-y,-z'
'-x,y,-z'
'x,-y,z'
loop_
_atom_site_label
_atom_site_fract_x
_atom_site_fract_y
_atom_site_fract_z
La1 0.2312 0.0000 0.2192
La2 0.2472 0.5000 0.7787
Sb1 0.0000 0.0000 0.5000
P1 0.0000 0.5000 0.0000
Cl1 0.5000 0.0000 0.0000
Cl2 0.5000 0.5000 0.5000
```

***

[2]
Structure and simulated powder XRD pattern of PrNd3Mg (DFT lattice parameters and positions (GGA-PBE); λ = 1.5418 Å (Cu Kα)).

Most intense lines, 10° ≤ 2θ ≤ 90°, in order of rising 2θ:
2θ/deg  d [Å]  intensity  index
29.68  3.010  40  0 1 -4
30.66  2.916  57  0 2 2
31.47  2.842  100  1 1 -1
32.00  2.797  95  1 0 3
47.72  1.906  18  2 -1 0
54.68  1.679  18  1 3 1
55.70  1.650  21  1 2 5
57.80  1.595  19  2 1 2

Structure:
```
data_PrNd3Mg
_chemical_formula_sum 'Pr2 Nd6 Mg2'
_symmetry_space_group_name_H-M 'P -1'
_symmetry_Int_Tables_number 2
_cell_length_a 3.8114
_cell_length_b 6.9301
_cell_length_c 13.1978
_cell_angle_alpha 92.58
_cell_angle_beta 90.02
_cell_angle_gamma 105.95
loop_
_symmetry_equiv_pos_as_xyz
'x,y,z'
'-x,-y,-z'
loop_
_atom_site_label
_atom_site_fract_x
_atom_site_fract_y
_atom_site_fract_z
Pr1 0.2291 0.4573 0.2541
Nd1 0.0398 0.0798 0.6887
Nd2 0.1482 0.2969 0.9437
Nd3 0.3653 0.7317 0.5275
Mg1 0.4448 0.8901 0.8748
```

***

[3]
Structure and simulated powder XRD pattern of CsIn2Bi (DFT lattice parameters and positions (GGA-PBE); λ = 1.5418 Å (Cu Kα)).

Most intense lines, 10° ≤ 2θ ≤ 90°, in order of rising 2θ:
2θ/deg  d [Å]  intensity  index
23.54  3.780  85  1 1 0
28.15  3.170  53  1 1 2
28.42  3.141  88  1 0 3
33.08  2.708  68  1 1 3
33.53  2.673  100  2 0 0
35.10  2.557  37  1 0 4
44.51  2.035  52  2 1 3
48.15  1.890  36  2 2 0

Structure:
```
data_CsIn2Bi
_chemical_formula_sum 'Cs2 In4 Bi2'
_symmetry_space_group_name_H-M 'P 4/n m m'
_symmetry_Int_Tables_number 129
_cell_length_a 5.3455
_cell_length_b 5.3455
_cell_length_c 11.6441
_cell_angle_alpha 90.00
_cell_angle_beta 90.00
_cell_angle_gamma 90.00
loop_
_symmetry_equiv_pos_as_xyz
'x,y,z'
'-x,-y,-z'
'-y+1/2,x,z'
'y+1/2,-x,-z'
'-x+1/2,-y+1/2,z'
'x+1/2,y+1/2,-z'
'y,-x+1/2,z'
'-y,x+1/2,-z'
'x+1/2,-y,-z'
'-x+1/2,y,z'
'-y,-x,-z'
'y,x,z'
'-x,y+1/2,-z'
'x,-y+1/2,z'
'y+1/2,x+1/2,-z'
'-y+1/2,-x+1/2,z'
loop_
_atom_site_label
_atom_site_fract_x
_atom_site_fract_y
_atom_site_fract_z
Cs1 0.2500 0.2500 0.2425
In1 0.2500 0.2500 0.9315
In2 0.2500 0.7500 0.5000
Bi1 0.2500 0.2500 0.6499
```

***

> Number 1 is which compound?

La4SbPCl2